Calculated powder diffraction line list
Compound: CdGa2TeSe3
Radiation: λ = 1.5418 Å (Cu Kα)
Structure: DFT lattice parameters and positions (PBE)
Peak positions follow from Bragg's law for the DFT cell and can differ from measured ones.

Peak list (6 most intense, 10° ≤ 2θ ≤ 90°, low angle first)
index, 2theta, d_spacing, I_rel
-1 1 1, 26.07, 3.417, 49
1 -1 1, 26.33, 3.384, 100
1 1 -2, 26.95, 3.308, 39
2 -2 0, 42.30, 2.137, 25
0 2 1, 43.58, 2.077, 23
2 0 -3, 44.69, 2.028, 39

Crystal structure
abc: 5.9242 6.0120 6.9150
angles: 113.85 114.19 91.46
Space group P1 (No. 1)
Asymmetric unit:
Cd1 0.0000 0.0000 0.0000 (multiplicity 1)
Ga1 0.5146 0.4859 0.9997 (multiplicity 1)
Ga2 0.7721 0.2595 0.5124 (multiplicity 1)
Te1 0.4013 0.8555 0.2912 (multiplicity 1)
Se1 0.1448 0.1289 0.7296 (multiplicity 1)
Se2 0.6086 0.5932 0.7290 (multiplicity 1)
Se3 0.8871 0.4020 0.2706 (multiplicity 1)